[1]
This entry pairs a crystal structure of EuAl8Fe2 with its simulated X-ray diffraction stick pattern. Radiation: λ = 1.5418 Å (Cu Kα). Structure: DFT lattice parameters and positions (PBE).
Lines closer than 0.1° are merged.

Structural model:
Cell lengths 12.5042, 14.5012, 4.0011 Å; angles 90.00, 90.00, 90.00 degrees
Sites, in units of the cell vectors:
Eu 0.1600 0.1818 0.0000
Eu 0.3400 0.6818 0.0000
Eu 0.6600 0.3182 0.0000
Eu 0.8400 0.8182 0.0000
Al 0.0000 0.0000 0.0000
Al 0.0000 0.5000 0.5000
Al 0.0259 0.8673 0.5000
Al 0.0471 0.3215 0.5000
Al 0.0940 0.7455 0.0000
Al 0.1588 0.6195 0.5000
Al 0.1631 0.4534 0.0000
Al 0.1666 0.0068 0.5000
Al 0.2350 0.8290 0.5000
Al 0.2650 0.3290 0.5000
Al 0.3334 0.5068 0.5000
Al 0.3369 0.9534 0.0000
Al 0.3412 0.1195 0.5000
Al 0.4060 0.2455 0.0000
Al 0.4529 0.8215 0.5000
Al 0.4741 0.3673 0.5000
Al 0.5000 0.0000 0.5000
Al 0.5000 0.5000 0.0000
Al 0.5259 0.6327 0.5000
Al 0.5471 0.1785 0.5000
Al 0.5940 0.7545 0.0000
Al 0.6589 0.8805 0.5000
Al 0.6631 0.0466 0.0000
Al 0.6666 0.4932 0.5000
Al 0.7350 0.6710 0.5000
Al 0.7650 0.1710 0.5000
Al 0.8334 0.9932 0.5000
Al 0.8369 0.5466 0.0000
Al 0.8412 0.3805 0.5000
Al 0.9060 0.2545 0.0000
Al 0.9529 0.6785 0.5000
Al 0.9741 0.1327 0.5000
Fe 0.0356 0.5901 0.0000
Fe 0.1489 0.9010 0.0000
Fe 0.3511 0.4010 0.0000
Fe 0.4644 0.0901 0.0000
Fe 0.5356 0.9099 0.0000
Fe 0.6489 0.5990 0.0000
Fe 0.8511 0.0990 0.0000
Fe 0.9644 0.4099 0.0000

Principal peaks in the range 15° ≤ 2θ ≤ 90°, by angle:
- 4.003 Å, 22.21 deg, I 93
- 3.482 Å, 25.58 deg, I 33
- 3.157 Å, 28.27 deg, I 33
- 2.829 Å, 31.62 deg, I 26
- 2.627 Å, 34.13 deg, I 87
- 2.478 Å, 36.25 deg, I 100
- 2.429 Å, 37.02 deg, I 44
- 2.059 Å, 43.98 deg, I 38
- 2.001 Å, 45.33 deg, I 50
- 1.966 Å, 46.17 deg, I 41
- 1.831 Å, 49.81 deg, I 26
- 1.765 Å, 51.80 deg, I 25

[2]
This entry pairs a crystal structure of Y2MgSe4 with its simulated X-ray diffraction stick pattern. Radiation: λ = 1.5418 Å (Cu Kα). Structure: DFT lattice parameters and positions (PBE).
Lines closer than 0.1° are merged.

Structural model:
Cell lengths 13.2345, 7.9076, 13.4384 Å; angles 90.00, 90.00, 90.00 degrees
Sites, in units of the cell vectors:
Y 0.1076 0.1183 0.0000
Y 0.1277 0.6196 0.6412
Y 0.1331 0.3722 0.3044
Y 0.1334 0.8716 0.3054
Y 0.3669 0.3722 0.8044
Y 0.3666 0.8716 0.8054
Y 0.3723 0.6196 0.1412
Y 0.3923 0.1183 0.5000
Y 0.6076 0.8817 0.0000
Y 0.6277 0.3804 0.6412
Y 0.6334 0.1284 0.3054
Y 0.6331 0.6278 0.3044
Y 0.8666 0.1284 0.8054
Y 0.8669 0.6278 0.8044
Y 0.8723 0.3804 0.1412
Y 0.8924 0.8817 0.5000
Mg 0.1102 0.6197 0.0047
Mg 0.1267 0.1228 0.6350
Mg 0.3733 0.1228 0.1350
Mg 0.3898 0.6197 0.5047
Mg 0.6102 0.3803 0.0047
Mg 0.6267 0.8772 0.6350
Mg 0.8733 0.8772 0.1350
Mg 0.8898 0.3803 0.5047
Se 0.0124 0.1223 0.1922
Se 0.0213 0.6269 0.1830
Se 0.0340 0.6227 0.4444
Se 0.0426 0.1279 0.4511
Se 0.2116 0.1211 0.8176
Se 0.2123 0.6207 0.8335
Se 0.2304 0.3685 0.0927
Se 0.2313 0.8722 0.0919
Se 0.2687 0.8722 0.5919
Se 0.2696 0.3685 0.5927
Se 0.2884 0.1211 0.3176
Se 0.2877 0.6207 0.3335
Se 0.4574 0.1279 0.9511
Se 0.4660 0.6227 0.9444
Se 0.4787 0.6269 0.6830
Se 0.4876 0.1223 0.6922
Se 0.5124 0.8777 0.1922
Se 0.5213 0.3731 0.1830
Se 0.5340 0.3773 0.4444
Se 0.5426 0.8721 0.4511
Se 0.7123 0.3793 0.8335
Se 0.7116 0.8789 0.8176
Se 0.7304 0.6315 0.0927
Se 0.7313 0.1278 0.0919
Se 0.7687 0.1278 0.5919
Se 0.7696 0.6315 0.5927
Se 0.7877 0.3793 0.3335
Se 0.7884 0.8789 0.3176
Se 0.9574 0.8721 0.9511
Se 0.9660 0.3773 0.9444
Se 0.9787 0.3731 0.6830
Se 0.9876 0.8777 0.6922

Principal peaks in the range 15° ≤ 2θ ≤ 90°, by angle:
- 3.709 Å, 23.99 deg, I 21
- 2.996 Å, 29.83 deg, I 73
- 2.893 Å, 30.91 deg, I 19
- 2.876 Å, 31.10 deg, I 100
- 2.697 Å, 33.22 deg, I 77
- 2.214 Å, 40.75 deg, I 14
- 2.192 Å, 41.18 deg, I 40
- 2.090 Å, 43.29 deg, I 27
- 1.978 Å, 45.88 deg, I 72
- 1.974 Å, 45.97 deg, I 20
- 1.650 Å, 55.71 deg, I 24
- 1.399 Å, 66.90 deg, I 24

[3]
This entry pairs a crystal structure of HfGa2 with its simulated X-ray diffraction stick pattern. Radiation: λ = 1.5418 Å (Cu Kα). Structure: DFT lattice parameters and positions (PBE).
Lines closer than 0.1° are merged.

Structural model:
Cell lengths 13.1286, 13.1286, 13.1286 Å; angles 162.18, 162.18, 25.31 degrees
Sites, in units of the cell vectors:
Hf 0.2994 0.5494 0.7500
Hf 0.4506 0.7006 0.7500
Hf 0.5494 0.2994 0.2500
Hf 0.7006 0.4506 0.2500
Ga 0.0366 0.7866 0.2500
Ga 0.1243 0.3743 0.7500
Ga 0.2134 0.9634 0.2500
Ga 0.3743 0.1243 0.2500
Ga 0.6257 0.8757 0.7500
Ga 0.7866 0.0366 0.7500
Ga 0.8757 0.6257 0.2500
Ga 0.9634 0.2134 0.7500

Principal peaks in the range 15° ≤ 2θ ≤ 90°, by angle:
- 4.017 Å, 22.13 deg, I 17
- 2.806 Å, 31.89 deg, I 6
- 2.721 Å, 32.92 deg, I 10
- 2.385 Å, 37.71 deg, I 100
- 2.332 Å, 38.61 deg, I 5
- 2.135 Å, 42.33 deg, I 15
- 2.034 Å, 44.55 deg, I 33
- 1.473 Å, 63.14 deg, I 18
- 1.438 Å, 64.84 deg, I 11
- 1.276 Å, 74.36 deg, I 8
- 1.232 Å, 77.51 deg, I 24
- 1.193 Å, 80.54 deg, I 9

[4]
This entry pairs a crystal structure of Sb2O3 with its simulated X-ray diffraction stick pattern. Radiation: λ = 1.5418 Å (Cu Kα). Structure: DFT lattice parameters and positions (PBE).
Lines closer than 0.1° are merged.

Structural model:
Cell lengths 7.6134, 7.7772, 12.0679 Å; angles 90.00, 90.00, 90.00 degrees
Sites, in units of the cell vectors:
Sb 0.0016 0.0037 0.2404
Sb 0.0251 0.5688 0.7578
Sb 0.2264 0.2486 0.0164
Sb 0.2355 0.2790 0.4845
Sb 0.2645 0.7210 0.9845
Sb 0.2736 0.7514 0.5164
Sb 0.4749 0.4312 0.2578
Sb 0.4984 0.9963 0.7404
Sb 0.5016 0.4963 0.7596
Sb 0.5251 0.9312 0.2422
Sb 0.7264 0.2514 0.9836
Sb 0.7355 0.2210 0.5155
Sb 0.7645 0.7790 0.0155
Sb 0.7736 0.7486 0.4836
Sb 0.9749 0.0688 0.7422
Sb 0.9984 0.5037 0.2596
O 0.0221 0.3508 0.3941
O 0.0594 0.6883 0.6116
O 0.0601 0.2170 0.1447
O 0.1166 0.7702 0.8507
O 0.1458 0.4916 0.9979
O 0.2468 0.4294 0.7507
O 0.2532 0.5706 0.2507
O 0.3542 0.5084 0.4979
O 0.3834 0.2298 0.3507
O 0.4399 0.7830 0.6447
O 0.4406 0.3117 0.1116
O 0.4779 0.6492 0.8941
O 0.5221 0.1492 0.6059
O 0.5594 0.8117 0.3884
O 0.5601 0.2830 0.8553
O 0.6166 0.7298 0.1493
O 0.6458 0.0084 0.0021
O 0.7468 0.0706 0.2493
O 0.7532 0.9294 0.7493
O 0.8542 0.9916 0.5021
O 0.8834 0.2702 0.6493
O 0.9399 0.7170 0.3553
O 0.9406 0.1883 0.8884
O 0.9779 0.8508 0.1059

Principal peaks in the range 15° ≤ 2θ ≤ 90°, by angle:
- 3.269 Å, 27.28 deg, I 89
- 3.220 Å, 27.71 deg, I 100
- 3.017 Å, 29.61 deg, I 39
- 2.720 Å, 32.93 deg, I 46
- 2.020 Å, 44.86 deg, I 44
- 1.903 Å, 47.79 deg, I 11
- 1.786 Å, 51.13 deg, I 13
- 1.778 Å, 51.38 deg, I 15
- 1.664 Å, 55.19 deg, I 14
- 1.645 Å, 55.91 deg, I 26
- 1.610 Å, 57.23 deg, I 11
- 1.302 Å, 72.59 deg, I 10

[5]
This entry pairs a crystal structure of SmMgPd with its simulated X-ray diffraction stick pattern. Radiation: λ = 1.5418 Å (Cu Kα). Structure: DFT lattice parameters and positions (PBE).
Lines closer than 0.1° are merged.

Structural model:
Cell lengths 7.6158, 7.6158, 4.0587 Å; angles 90.00, 90.00, 120.00 degrees
Sites, in units of the cell vectors:
Sm 0.0000 0.5852 0.0000
Sm 0.4148 0.4148 0.0000
Sm 0.5852 0.0000 0.0000
Mg 0.0000 0.2410 0.5000
Mg 0.2410 0.0000 0.5000
Mg 0.7590 0.7590 0.5000
Pd 0.0000 0.0000 0.0000
Pd 0.3333 0.6667 0.5000
Pd 0.6667 0.3333 0.5000

Principal peaks in the range 15° ≤ 2θ ≤ 90°, by angle:
- 3.808 Å, 23.36 deg, I 34
- 3.298 Å, 27.04 deg, I 25
- 2.777 Å, 32.23 deg, I 81
- 2.559 Å, 35.06 deg, I 100
- 2.493 Å, 36.03 deg, I 24
- 2.198 Å, 41.06 deg, I 28
- 2.124 Å, 42.56 deg, I 24
- 2.029 Å, 44.65 deg, I 21
- 1.829 Å, 49.85 deg, I 20
- 1.668 Å, 55.07 deg, I 25
- 1.491 Å, 62.26 deg, I 16
- 1.418 Å, 65.88 deg, I 23

[6]
This entry pairs a crystal structure of Ca2Nd3Si3O13 with its simulated X-ray diffraction stick pattern. Radiation: λ = 1.5418 Å (Cu Kα). Structure: DFT lattice parameters and positions (PBE).
Lines closer than 0.1° are merged.

Structural model:
Cell lengths 9.6220, 9.6220, 7.0858 Å; angles 90.00, 90.00, 120.00 degrees
Sites, in units of the cell vectors:
Ca 0.3333 0.6667 0.0032
Ca 0.3333 0.6667 0.4968
Ca 0.6667 0.3333 0.5032
Ca 0.6667 0.3333 0.9968
Nd 0.0112 0.7598 0.2500
Nd 0.2402 0.2514 0.2500
Nd 0.2514 0.0112 0.7500
Nd 0.7486 0.9888 0.2500
Nd 0.7598 0.7486 0.7500
Nd 0.9888 0.2402 0.7500
Si 0.0284 0.6293 0.7500
Si 0.3707 0.3990 0.7500
Si 0.3990 0.0284 0.2500
Si 0.6010 0.9716 0.7500
Si 0.6293 0.6010 0.2500
Si 0.9716 0.3707 0.2500
O 0.0000 0.0000 0.2500
O 0.0000 0.0000 0.7500
O 0.0897 0.7528 0.5674
O 0.0897 0.7528 0.9326
O 0.1252 0.5296 0.7500
O 0.1665 0.4828 0.2500
O 0.2472 0.3369 0.5674
O 0.2472 0.3369 0.9326
O 0.3162 0.8335 0.2500
O 0.3369 0.0897 0.0674
O 0.3369 0.0897 0.4326
O 0.4043 0.8748 0.7500
O 0.4704 0.5957 0.7500
O 0.4828 0.3162 0.7500
O 0.5172 0.6838 0.2500
O 0.5296 0.4043 0.2500
O 0.5957 0.1252 0.2500
O 0.6631 0.9103 0.5674
O 0.6631 0.9103 0.9326
O 0.6838 0.1665 0.7500
O 0.7528 0.6631 0.0674
O 0.7528 0.6631 0.4326
O 0.8335 0.5172 0.7500
O 0.8748 0.4704 0.2500
O 0.9103 0.2472 0.0674
O 0.9103 0.2472 0.4326

Principal peaks in the range 15° ≤ 2θ ≤ 90°, by angle:
- 4.166 Å, 21.33 deg, I 14
- 3.980 Å, 22.34 deg, I 34
- 3.543 Å, 25.14 deg, I 33
- 3.260 Å, 27.35 deg, I 16
- 3.150 Å, 28.34 deg, I 16
- 2.878 Å, 31.07 deg, I 100
- 2.853 Å, 31.36 deg, I 20
- 2.778 Å, 32.23 deg, I 15
- 2.120 Å, 42.64 deg, I 14
- 1.890 Å, 48.16 deg, I 34
- 1.846 Å, 49.38 deg, I 23
- 1.796 Å, 50.85 deg, I 23

[7]
This entry pairs a crystal structure of NdCl3 with its simulated X-ray diffraction stick pattern. Radiation: λ = 1.5418 Å (Cu Kα). Structure: DFT lattice parameters and positions (PBE).
Lines closer than 0.1° are merged.

Structural model:
Cell lengths 7.5358, 7.5358, 4.2595 Å; angles 90.00, 90.00, 120.00 degrees
Sites, in units of the cell vectors:
Nd 0.3333 0.6667 0.2500
Nd 0.6667 0.3333 0.7500
Cl 0.0869 0.3918 0.7500
Cl 0.3049 0.9131 0.7500
Cl 0.3918 0.3049 0.2500
Cl 0.6082 0.6951 0.7500
Cl 0.6951 0.0869 0.2500
Cl 0.9131 0.6082 0.2500

Principal peaks in the range 15° ≤ 2θ ≤ 90°, by angle:
- 3.768 Å, 23.61 deg, I 49
- 3.567 Å, 24.96 deg, I 72
- 3.263 Å, 27.33 deg, I 19
- 2.822 Å, 31.71 deg, I 25
- 2.590 Å, 34.63 deg, I 100
- 2.467 Å, 36.42 deg, I 19
- 2.175 Å, 41.51 deg, I 37
- 2.135 Å, 42.34 deg, I 84
- 2.130 Å, 42.44 deg, I 20
- 1.522 Å, 60.86 deg, I 25
- 1.412 Å, 66.17 deg, I 38
- 1.184 Å, 81.24 deg, I 25

[8]
This entry pairs a crystal structure of Pr2AgHg with its simulated X-ray diffraction stick pattern. Radiation: λ = 1.5418 Å (Cu Kα). Structure: DFT lattice parameters and positions (PBE).
Lines closer than 0.1° are merged.

Structural model:
Cell lengths 5.4189, 5.4189, 5.4189 Å; angles 60.00, 60.00, 60.00 degrees
Sites, in units of the cell vectors:
Pr 0.2500 0.2500 0.2500
Pr 0.7500 0.7500 0.7500
Ag 0.0000 0.0000 0.0000
Hg 0.5000 0.5000 0.5000

Principal peaks in the range 15° ≤ 2θ ≤ 90°, by angle:
- 4.425 Å, 20.07 deg, I 5
- 2.709 Å, 33.06 deg, I 100
- 2.311 Å, 38.98 deg, I 3
- 1.916 Å, 47.45 deg, I 18
- 1.758 Å, 52.02 deg, I 1
- 1.564 Å, 59.05 deg, I 38
- 1.475 Å, 63.03 deg, I 1
- 1.355 Å, 69.37 deg, I 12
- 1.295 Å, 73.04 deg, I 1
- 1.212 Å, 79.02 deg, I 16
- 1.106 Å, 88.37 deg, I 4

[9]
This entry pairs a crystal structure of Pr4Co with its simulated X-ray diffraction stick pattern. Radiation: λ = 1.5418 Å (Cu Kα). Structure: DFT lattice parameters and positions (PBE).
Lines closer than 0.1° are merged.

Structural model:
Cell lengths 7.8606, 7.8606, 7.8606 Å; angles 60.00, 60.00, 60.00 degrees
Sites, in units of the cell vectors:
Pr 0.2225 0.7592 0.7592
Pr 0.2408 0.2408 0.2408
Pr 0.2408 0.2408 0.7775
Pr 0.2408 0.7775 0.2408
Pr 0.7592 0.2225 0.7592
Pr 0.7592 0.7592 0.2225
Pr 0.7592 0.7592 0.7592
Pr 0.7775 0.2408 0.2408
Co 0.3750 0.3750 0.3750
Co 0.6250 0.6250 0.6250

Principal peaks in the range 15° ≤ 2θ ≤ 90°, by angle:
- 3.209 Å, 27.80 deg, I 100
- 2.779 Å, 32.21 deg, I 40
- 2.550 Å, 35.19 deg, I 8
- 2.139 Å, 42.24 deg, I 9
- 1.965 Å, 46.19 deg, I 43
- 1.676 Å, 54.78 deg, I 41
- 1.605 Å, 57.43 deg, I 9
- 1.390 Å, 67.39 deg, I 6
- 1.358 Å, 69.17 deg, I 4
- 1.275 Å, 74.40 deg, I 15
- 1.243 Å, 76.67 deg, I 10
- 1.135 Å, 85.61 deg, I 12

[10]
This entry pairs a crystal structure of YH3 with its simulated X-ray diffraction stick pattern. Radiation: λ = 1.5418 Å (Cu Kα). Structure: DFT lattice parameters and positions (PBE).
Lines closer than 0.1° are merged.

Structural model:
Cell lengths 6.3481, 6.3481, 6.6086 Å; angles 90.00, 90.00, 120.00 degrees
Sites, in units of the cell vectors:
Y 0.0000 0.3300 0.0000
Y 0.0000 0.6700 0.5000
Y 0.3300 0.0000 0.0000
Y 0.3300 0.3300 0.5000
Y 0.6700 0.0000 0.5000
Y 0.6700 0.6700 0.0000
H 0.0000 0.0000 0.0685
H 0.0000 0.0000 0.5685
H 0.0000 0.3050 0.3413
H 0.0000 0.3580 0.6584
H 0.0000 0.6420 0.1584
H 0.0000 0.6950 0.8413
H 0.3050 0.0000 0.3413
H 0.3050 0.3050 0.8413
H 0.3333 0.6667 0.4562
H 0.3333 0.6667 0.9562
H 0.3580 0.0000 0.6584
H 0.3580 0.3580 0.1584
H 0.6420 0.0000 0.1584
H 0.6420 0.6420 0.6584
H 0.6667 0.3333 0.4562
H 0.6667 0.3333 0.9562
H 0.6950 0.0000 0.8413
H 0.6950 0.6950 0.3413

Principal peaks in the range 15° ≤ 2θ ≤ 90°, by angle:
- 3.304 Å, 26.98 deg, I 34
- 3.174 Å, 28.11 deg, I 23
- 2.861 Å, 31.26 deg, I 100
- 2.289 Å, 39.36 deg, I 17
- 1.833 Å, 49.76 deg, I 19
- 1.810 Å, 50.43 deg, I 27
- 1.603 Å, 57.51 deg, I 23
- 1.543 Å, 59.94 deg, I 15
- 1.288 Å, 73.55 deg, I 8
- 1.227 Å, 77.84 deg, I 9
- 1.220 Å, 78.37 deg, I 7
- 1.180 Å, 81.55 deg, I 12